(1)
For Ba2Ti11O24, a structure optimized by DFT (PBE) gives the calculated PXRD pattern in this record (Cu Kα X-rays).
Kinematic intensities with the Lorentz-polarization factor, no thermal factor.

Top 10 peaks for 5 to 70 degrees two-theta, low angle first:
| h k l | two_theta | I (rel.) |
| --- | --- | --- |
| 0 0 2 | 20.7 | 43 |
| 0 1 2 | 21.9 | 37 |
| 0 2 0 | 24.4 | 45 |
| 1 2 0 | 27.1 | 36 |
| 2 1 0 | 27.6 | 100 |
| 1 -2 0 | 27.9 | 90 |
| 2 -1 0 | 28.4 | 54 |
| 2 2 3 | 39.7 | 33 |
| 2 -1 3 | 40.5 | 47 |
| 3 -3 0 | 55.1 | 33 |

Structural model:
Unit cell a=7.2506 b=7.4758 c=8.9747 alpha=77.89 beta=77.66 gamma=85.57
Space group P1 (No. 1)
Asymmetric unit:
Ba 0.0000 0.0000 0.0000 [1 per cell]
Ba 0.0224 0.0283 0.4316 [1 per cell]
Ti 0.2134 0.5598 0.7448 [1 per cell]
Ti 0.2188 0.5584 0.4087 [1 per cell]
Ti 0.2276 0.5355 0.0814 [1 per cell]
Ti 0.5022 0.2044 0.5946 [1 per cell]
Ti 0.5043 0.1841 0.9359 [1 per cell]
Ti 0.5267 0.1866 0.2549 [1 per cell]
Ti 0.5458 0.8357 0.8259 [1 per cell]
Ti 0.5468 0.8365 0.4707 [1 per cell]
Ti 0.8340 0.5081 0.3134 [1 per cell]
Ti 0.8358 0.5034 0.9932 [1 per cell]
Ti 0.8491 0.4754 0.6587 [1 per cell]
O 0.0571 0.6585 0.9189 [1 per cell]
O 0.0583 0.6640 0.5919 [1 per cell]
O 0.0652 0.6675 0.2531 [1 per cell]
O 0.3243 0.4084 0.5870 [1 per cell]
O 0.3289 0.4086 0.9153 [1 per cell]
O 0.3431 0.4219 0.2528 [1 per cell]
O 0.3635 0.7418 0.0003 [1 per cell]
O 0.3705 0.1048 0.1391 [1 per cell]
O 0.3702 0.7517 0.3793 [1 per cell]
O 0.3723 0.0809 0.8059 [1 per cell]
O 0.3807 0.0853 0.4627 [1 per cell]
O 0.3897 0.7408 0.6857 [1 per cell]
O 0.6513 0.3082 0.7124 [1 per cell]
O 0.6586 0.9687 0.6066 [1 per cell]
O 0.6617 0.3091 0.3904 [1 per cell]
O 0.6717 0.2918 0.0462 [1 per cell]
O 0.6748 0.9786 0.9151 [1 per cell]
O 0.6965 0.9861 0.2878 [1 per cell]
O 0.7181 0.6293 0.8201 [1 per cell]
O 0.7255 0.6400 0.4824 [1 per cell]
O 0.7276 0.6280 0.1487 [1 per cell]
O 0.9840 0.3715 0.8151 [1 per cell]
O 0.9877 0.3793 0.4840 [1 per cell]
O 0.9885 0.3738 0.1535 [1 per cell]

***

(2)
For Ba3TiO5, a structure optimized by DFT (PBE) gives the calculated PXRD pattern in this record (Cu Kα X-rays).
Kinematic intensities with the Lorentz-polarization factor, no thermal factor.

Top 10 peaks for 5 to 70 degrees two-theta, low angle first:
| h k l | two_theta | I (rel.) |
| --- | --- | --- |
| 2 1 1 | 27.9 | 45 |
| 2 0 2 | 28.3 | 100 |
| 0 0 4 | 29.8 | 34 |
| 2 2 0 | 34.2 | 27 |
| 2 1 3 | 35.1 | 56 |
| 3 1 0 | 38.3 | 24 |
| 2 2 4 | 46.0 | 22 |
| 4 1 1 | 51.3 | 18 |
| 2 0 6 | 52.0 | 20 |
| 4 1 3 | 56.0 | 17 |

Structural model:
Unit cell a=7.4224 b=7.4224 c=11.9925 alpha=90.00 beta=90.00 gamma=90.00
Space group I4/mcm (No. 140)
Asymmetric unit:
Ba 0.0000 0.0000 0.2500 [4 per cell]
Ba 0.1811 0.3189 0.0000 [8 per cell]
Ti 0.0000 0.5000 0.2500 [4 per cell]
O 0.0000 0.0000 0.0000 [4 per cell]
O 0.1384 0.3616 0.3428 [16 per cell]

***

(3)
For Ba4Ti3O10, a structure optimized by DFT (PBE) gives the calculated PXRD pattern in this record (Cu Kα X-rays).
Kinematic intensities with the Lorentz-polarization factor, no thermal factor.

Top 10 peaks for 5 to 70 degrees two-theta, low angle first:
| h k l | two_theta | I (rel.) |
| --- | --- | --- |
| 1 1 1 | 22.0 | 19 |
| 0 0 8 | 24.1 | 13 |
| 1 1 7 | 30.5 | 100 |
| 2 0 0 | 31.1 | 62 |
| 0 2 8 | 39.7 | 35 |
| 2 2 0 | 44.5 | 37 |
| 2 0 14 | 53.9 | 13 |
| 1 3 7 | 54.9 | 18 |
| 3 1 7 | 55.0 | 19 |
| 2 2 14 | 63.5 | 13 |

Structural model:
Unit cell a=5.7481 b=5.7631 c=29.5198 alpha=90.00 beta=90.00 gamma=90.00
Space group Cmce (No. 64)
Asymmetric unit:
Ba 0.0000 0.0042 0.0671 [8 per cell]
Ba 0.0000 0.0073 0.2013 [8 per cell]
Ti 0.0000 0.0000 0.5000 [4 per cell]
Ti 0.0000 0.0220 0.3626 [8 per cell]
O 0.0000 0.0031 0.5678 [8 per cell]
O 0.0000 0.0061 0.7036 [8 per cell]
O 0.2449 0.2408 0.3632 [16 per cell]
O 0.2500 0.2500 0.0000 [8 per cell]

***

(4)
For Ba2Ti3Tl2O10, a structure optimized by DFT (PBE) gives the calculated PXRD pattern in this record (Cu Kα X-rays).
Kinematic intensities with the Lorentz-polarization factor, no thermal factor.

Top 10 peaks for 5 to 70 degrees two-theta, low angle first:
| h k l | two_theta | I (rel.) |
| --- | --- | --- |
| 0 0 1 | 5.5 | 100 |
| 0 1 3 | 25.2 | 21 |
| 0 1 -3 | 26.7 | 36 |
| 0 1 4 | 29.1 | 15 |
| 1 0 -3 | 30.1 | 16 |
| 1 1 1 | 30.5 | 17 |
| 1 1 0 | 30.7 | 14 |
| 1 1 2 | 31.4 | 27 |
| 1 0 5 | 34.3 | 20 |
| 0 2 0 | 40.3 | 20 |

Structural model:
Unit cell a=3.8730 b=4.4820 c=16.1707 alpha=86.81 beta=83.53 gamma=89.85
Space group P1 (No. 1)
Asymmetric unit:
Ba 0.0000 0.0000 0.0000 [1 per cell]
Ba 0.2813 0.5516 0.5078 [1 per cell]
Ti 0.4110 0.9163 0.2527 [1 per cell]
Ti 0.4302 0.4547 0.1180 [1 per cell]
Ti 0.8360 0.0808 0.3917 [1 per cell]
Tl 0.2162 0.0619 0.7233 [1 per cell]
Tl 0.5639 0.5363 0.8554 [1 per cell]
O 0.0888 0.5538 0.7879 [1 per cell]
O 0.3442 0.9859 0.3740 [1 per cell]
O 0.4145 0.5277 0.2344 [1 per cell]
O 0.4473 0.0370 0.1300 [1 per cell]
O 0.5135 0.0377 0.8551 [1 per cell]
O 0.5319 0.5157 0.9948 [1 per cell]
O 0.7821 0.9698 0.5052 [1 per cell]
O 0.8320 0.4692 0.4000 [1 per cell]
O 0.8935 0.9906 0.2671 [1 per cell]
O 0.9691 0.5117 0.1075 [1 per cell]

***

(5)
For Ba2Ti2TlO7, a structure optimized by DFT (PBE) gives the calculated PXRD pattern in this record (Cu Kα X-rays).
Kinematic intensities with the Lorentz-polarization factor, no thermal factor.

Top 10 peaks for 5 to 70 degrees two-theta, low angle first:
| h k l | two_theta | I (rel.) |
| --- | --- | --- |
| 0 0 1 | 6.7 | 100 |
| 1 0 2 | 26.9 | 75 |
| 1 0 3 | 30.9 | 61 |
| 1 1 0 | 33.2 | 43 |
| 0 0 5 | 33.7 | 24 |
| 1 1 1 | 33.9 | 22 |
| 2 0 0 | 47.7 | 23 |
| 1 1 5 | 48.1 | 30 |
| 2 1 2 | 55.6 | 23 |
| 2 1 3 | 57.9 | 21 |

Structural model:
Unit cell a=3.8161 b=3.8161 c=13.2878 alpha=90.00 beta=90.00 gamma=90.00
Space group P4/mmm (No. 123)
Asymmetric unit:
Ba 0.0000 0.0000 0.2022 [2 per cell]
Ti 0.5000 0.5000 0.3793 [2 per cell]
Tl 0.5000 0.5000 0.0000 [1 per cell]
O 0.0000 0.0000 0.0000 [1 per cell]
O 0.0000 0.5000 0.3601 [4 per cell]
O 0.5000 0.5000 0.1613 [2 per cell]

***

(6)
For Ba4TmTi3O12, a structure optimized by DFT (PBE) gives the calculated PXRD pattern in this record (Cu Kα X-rays).
Kinematic intensities with the Lorentz-polarization factor, no thermal factor.

Top 10 peaks for 5 to 70 degrees two-theta, low angle first:
| h k l | two_theta | I (rel.) |
| --- | --- | --- |
| 1 1 0 | 15.2 | 11 |
| 2 0 0 | 21.6 | 4 |
| 2 1 1 | 26.5 | 6 |
| 2 2 0 | 30.7 | 100 |
| 3 1 0 | 34.4 | 4 |
| 2 2 2 | 37.8 | 11 |
| 3 2 1 | 40.9 | 5 |
| 4 0 0 | 43.9 | 32 |
| 4 2 2 | 54.5 | 39 |
| 4 4 0 | 63.8 | 19 |

Structural model:
Unit cell a=8.2468 b=8.2468 c=8.2468 alpha=90.00 beta=90.00 gamma=90.00
Space group Im-3m (No. 229)
Asymmetric unit:
Ba 0.2500 0.2500 0.2500 [8 per cell]
Tm 0.0000 0.0000 0.0000 [2 per cell]
Ti 0.0000 0.0000 0.5000 [6 per cell]
O 0.0000 0.0000 0.2665 [12 per cell]
O 0.0000 0.2500 0.5000 [12 per cell]